1.
# Zn2OsO6
Theoretical powder X-ray diffraction pattern, Cu Kα. Input: a PBE-relaxed structure.
Intensities are scaled so that the largest is 100.

Cell and atoms:
Cell lengths 4.699, 4.699, 9.223 Å; angles 90.00, 90.00, 90.00 degrees
Space group P4_2/mnm (No. 136)
Inequivalent atoms, fractional coordinates:
Zn1 0.000 0.000 0.161 x4
Os1 0.000 0.000 0.500 x2
O1 0.193 0.193 0.351 x8
O2 0.218 0.218 0.000 x4

Peak list (6 most intense, 10° ≤ 2θ ≤ 90°, in order of falling intensity)
- (1 1 0), 26.8°, d = 3.322 Å, I = 100
- (1 0 3), 34.9°, d = 2.573 Å, I = 79
- (2 1 3), 52.8°, d = 1.735 Å, I = 65
- (1 0 1), 21.2°, d = 4.187 Å, I = 42
- (3 0 3), 67.1°, d = 1.395 Å, I = 33
- (2 0 0), 38.3°, d = 2.349 Å, I = 21

=====

2.
# LaPm2Sm2Er
Theoretical powder X-ray diffraction pattern, Cu Kα. Input: a PBE-relaxed structure.
Intensities are scaled so that the largest is 100.

Cell and atoms:
Cell lengths 7.113, 5.756, 9.946 Å; angles 90.00, 90.00, 90.00 degrees
Space group Pmma (No. 51)
Inequivalent atoms, fractional coordinates:
La1 0.000 0.000 0.000 x2
Pm1 0.250 0.000 0.337 x2
Pm2 0.250 0.500 0.829 x2
Sm1 0.000 0.500 0.500 x2
Sm2 0.250 0.000 0.668 x2
Er1 0.250 0.500 0.166 x2

Peak list (6 most intense, 10° ≤ 2θ ≤ 90°, in order of falling intensity)
- (0 2 0), 31.1°, d = 2.875 Å, I = 100
- (2 0 2), 30.9°, d = 2.894 Å, I = 89
- (2 1 5), 55.2°, d = 1.663 Å, I = 34
- (2 2 2), 44.4°, d = 2.039 Å, I = 33
- (4 2 0), 61.3°, d = 1.512 Å, I = 29
- (4 3 3), 78.9°, d = 1.213 Å, I = 14

=====

3.
# La3Pr8Cd
Theoretical powder X-ray diffraction pattern, Cu Kα. Input: a PBE-relaxed structure.
Intensities are scaled so that the largest is 100.

Cell and atoms:
Cell lengths 8.820, 8.820, 11.684 Å; angles 90.00, 90.00, 90.00 degrees
Space group I-42m (No. 121)
Inequivalent atoms, fractional coordinates:
La1 0.000 0.000 0.000 x2
La2 0.000 0.500 0.250 x4
Pr1 0.125 0.125 0.251 x8
Pr2 0.249 0.249 0.497 x8
Cd1 0.000 0.000 0.500 x2

Peak list (6 most intense, 10° ≤ 2θ ≤ 90°, in order of falling intensity)
- (3 1 2), 35.7°, d = 2.517 Å, I = 100
- (2 2 0), 28.6°, d = 3.118 Å, I = 82
- (0 0 4), 30.6°, d = 2.921 Å, I = 79
- (2 1 1), 23.8°, d = 3.737 Å, I = 70
- (2 0 2), 25.3°, d = 3.520 Å, I = 64
- (2 2 4), 42.4°, d = 2.132 Å, I = 56